Theoretical X-ray diffraction stick pattern
Compound: ScTiO3
Radiation: λ = 1.5418 Å (Cu Kα)
Structure: the GGA-PBE geometry in the Materials Project
Intensities are scaled so that the largest is 100.

Peak list (6 most intense, 2θ = 15–90°, in order of rising 2θ)
23.20°, rel. 47
31.88°, rel. 100
34.18°, rel. 74
47.43°, rel. 43
51.87°, rel. 72
61.19°, rel. 43

Atomic structure:
a = 5.6419 Å, b = 5.6419 Å, c = 5.6419 Å
α = 55.42°, β = 55.42°, γ = 55.42°
Positions (direct):
Sc 0.1441 0.1441 0.1441
Sc 0.8559 0.8559 0.8559
Ti 0.3488 0.3488 0.3488
Ti 0.6512 0.6512 0.6512
O 0.0561 0.7387 0.4495
O 0.2613 0.5505 0.9439
O 0.4495 0.0561 0.7387
O 0.5505 0.9439 0.2613
O 0.7387 0.4495 0.0561
O 0.9439 0.2613 0.5505